For K6MgCuSi2O8, a PBE-relaxed structure gives the theoretical powder X-ray diffraction pattern in this record (Cu Ka).
Intensities are scaled so that the largest is 100.

Top 6 peaks for 5 to 70 degrees two-theta, sorted by position:
5.419 Å, 2θ = 16.36°, intensity 100.0; 4.888 Å, 2θ = 18.15°, intensity 65.3; 3.353 Å, 2θ = 26.59°, intensity 85.3; 3.101 Å, 2θ = 28.79°, intensity 56.8; 2.786 Å, 2θ = 32.13°, intensity 55.5; 2.344 Å, 2θ = 38.41°, intensity 67.2

Structure:
```
data_K6MgCuSi2O8
_space_group_name_H-M_alt 'P 1'
_space_group_IT_number 1
_space_group_name_Hall 'P 1'
_cell_length_a 6.435
_cell_length_b 7.388
_cell_length_c 7.477
_cell_angle_alpha 83.10
_cell_angle_beta 74.74
_cell_angle_gamma 84.61
loop_
_atom_site_label
_atom_site_type_symbol
_atom_site_fract_x
_atom_site_fract_y
_atom_site_fract_z
K1 K 0.000 0.000 0.000
K2 K 0.038 0.493 0.758
K3 K 0.197 0.296 0.252
K4 K 0.486 0.638 0.913
K5 K 0.528 0.874 0.275
K6 K 0.650 0.446 0.401
Mg1 Mg 0.420 0.074 0.679
Cu1 Cu 0.848 0.974 0.578
Si1 Si 0.052 0.728 0.344
Si2 Si 0.607 0.204 0.876
O1 O 0.105 0.948 0.310
O2 O 0.258 0.597 0.391
O3 O 0.418 0.319 0.780
O4 O 0.507 0.997 0.922
O5 O 0.649 0.291 0.051
O6 O 0.833 0.189 0.701
O7 O 0.834 0.723 0.533
O8 O 0.982 0.660 0.166
```


For KNaCuSi4O10, a PBE-relaxed structure gives the theoretical powder X-ray diffraction pattern in this record (Cu Ka).
Intensities are scaled so that the largest is 100.

Top 6 peaks for 5 to 70 degrees two-theta, sorted by position:
4.129 Å, 2θ = 21.52°, intensity 87.3; 3.446 Å, 2θ = 25.85°, intensity 100.0; 3.268 Å, 2θ = 27.29°, intensity 94.9; 3.075 Å, 2θ = 29.04°, intensity 95.1; 3.006 Å, 2θ = 29.72°, intensity 63.5; 2.466 Å, 2θ = 36.43°, intensity 65.0

Structure:
```
data_KNaCuSi4O10
_space_group_name_H-M_alt 'P -1'
_space_group_IT_number 2
_space_group_name_Hall '-P 1'
_cell_length_a 7.040
_cell_length_b 8.161
_cell_length_c 9.916
_cell_angle_alpha 105.85
_cell_angle_beta 99.58
_cell_angle_gamma 113.69
loop_
_atom_site_label
_atom_site_type_symbol
_atom_site_fract_x
_atom_site_fract_y
_atom_site_fract_z
K1 K 0.167 0.298 0.496
Na1 Na 0.164 0.624 0.909
Cu1 Cu 0.332 0.363 0.087
Si1 Si 0.066 0.853 0.222
Si2 Si 0.312 0.673 0.357
Si3 Si 0.344 0.117 0.776
Si4 Si 0.461 0.790 0.710
O1 O 0.053 0.302 0.944
O2 O 0.089 0.067 0.705
O3 O 0.133 0.754 0.333
O4 O 0.216 0.454 0.246
O5 O 0.282 0.051 0.244
O6 O 0.327 0.906 0.769
O7 O 0.359 0.684 0.528
O8 O 0.420 0.619 0.770
O9 O 0.456 0.171 0.650
O10 O 0.466 0.286 0.936
```


For K2NbCuSe2, a PBE-relaxed structure gives the theoretical powder X-ray diffraction pattern in this record (Cu Ka).
Intensities are scaled so that the largest is 100.

Top 6 peaks for 5 to 70 degrees two-theta, sorted by position:
8.957 Å, 2θ = 9.87°, intensity 64.0; 3.128 Å, 2θ = 28.54°, intensity 100.0; 2.986 Å, 2θ = 29.93°, intensity 47.1; 2.909 Å, 2θ = 30.74°, intensity 32.1; 2.638 Å, 2θ = 33.98°, intensity 79.3; 2.160 Å, 2θ = 41.83°, intensity 35.8

Structure:
```
data_K2NbCuSe2
_space_group_name_H-M_alt 'F d d d'
_space_group_IT_number 70
_cell_length_a 5.896
_cell_length_b 12.511
_cell_length_c 35.828
_cell_angle_alpha 90.00
_cell_angle_beta 90.00
_cell_angle_gamma 90.00
loop_
_space_group_symop_operation_xyz
'x,y,z'
'-x,-y,-z'
'-x+1/4,-y+1/4,z'
'x+1/4,y+1/4,-z'
'x,-y+1/4,-z+1/4'
'-x,y+1/4,z+1/4'
'-x+1/4,y,-z+1/4'
'x+1/4,-y,z+1/4'
'x,y+1/2,z+1/2'
'-x,-y+1/2,-z+1/2'
'-x+1/4,-y+3/4,z+1/2'
'x+1/4,y+3/4,-z+1/2'
'x,-y+3/4,-z+3/4'
'-x,y+3/4,z+3/4'
'-x+1/4,y+1/2,-z+3/4'
'x+1/4,-y+1/2,z+3/4'
'x+1/2,y,z+1/2'
'-x+1/2,-y,-z+1/2'
'-x+3/4,-y+1/4,z+1/2'
'x+3/4,y+1/4,-z+1/2'
'x+1/2,-y+1/4,-z+3/4'
'-x+1/2,y+1/4,z+3/4'
'-x+3/4,y,-z+3/4'
'x+3/4,-y,z+3/4'
'x+1/2,y+1/2,z'
'-x+1/2,-y+1/2,-z'
'-x+3/4,-y+3/4,z'
'x+3/4,y+3/4,-z'
'x+1/2,-y+3/4,-z+1/4'
'-x+1/2,y+3/4,z+1/4'
'-x+3/4,y+1/2,-z+1/4'
'x+3/4,-y+1/2,z+1/4'
loop_
_atom_site_label
_atom_site_type_symbol
_atom_site_fract_x
_atom_site_fract_y
_atom_site_fract_z
K1 K 0.095 0.252 0.339
Nb1 Nb 0.000 0.000 0.500
Cu1 Cu 0.000 0.000 0.000
Se1 Se 0.092 0.261 0.817
```


For KNbCu2Se4, a PBE-relaxed structure gives the theoretical powder X-ray diffraction pattern in this record (Cu Ka).
Intensities are scaled so that the largest is 100.

Top 6 peaks for 5 to 70 degrees two-theta, sorted by position:
9.615 Å, 2θ = 9.20°, intensity 68.1; 6.054 Å, 2θ = 14.63°, intensity 94.9; 3.193 Å, 2θ = 27.94°, intensity 86.9; 3.178 Å, 2θ = 28.08°, intensity 92.5; 2.080 Å, 2θ = 43.50°, intensity 100.0; 1.873 Å, 2θ = 48.62°, intensity 42.5

Structure:
```
data_KNbCu2Se4
_space_group_name_H-M_alt 'A m a 2'
_space_group_IT_number 40
_space_group_name_Hall 'A 2 -2a'
_cell_length_a 7.794
_cell_length_b 19.229
_cell_length_c 5.727
_cell_angle_alpha 90.00
_cell_angle_beta 90.00
_cell_angle_gamma 90.00
loop_
_atom_site_label
_atom_site_type_symbol
_atom_site_fract_x
_atom_site_fract_y
_atom_site_fract_z
K1 K 0.250 0.184 0.000
Nb1 Nb 0.250 0.391 0.260
Cu1 Cu 0.000 0.000 0.744
Cu2 Cu 0.250 0.393 0.760
Se1 Se 0.006 0.107 0.511
Se2 Se 0.250 0.289 0.512
Se3 Se 0.250 0.497 0.506
```


For K3Nb2Cu3Se8, a PBE-relaxed structure gives the theoretical powder X-ray diffraction pattern in this record (Cu Ka).
Intensities are scaled so that the largest is 100.

Top 6 peaks for 5 to 70 degrees two-theta, sorted by position:
7.543 Å, 2θ = 11.73°, intensity 31.1; 6.558 Å, 2θ = 13.50°, intensity 100.0; 5.828 Å, 2θ = 15.20°, intensity 35.6; 3.246 Å, 2θ = 27.48°, intensity 61.1; 3.074 Å, 2θ = 29.05°, intensity 87.9; 2.100 Å, 2θ = 43.07°, intensity 45.2

Structure:
```
data_K3Nb2Cu3Se8
_space_group_name_H-M_alt 'C 1 2/c 1'
_space_group_IT_number 15
_space_group_name_Hall '-C 2yc'
_cell_length_a 24.753
_cell_length_b 5.752
_cell_length_c 15.205
_cell_angle_alpha 90.00
_cell_angle_beta 120.39
_cell_angle_gamma 90.00
loop_
_atom_site_label
_atom_site_type_symbol
_atom_site_fract_x
_atom_site_fract_y
_atom_site_fract_z
K1 K 0.000 0.000 0.000
K2 K 0.191 0.462 0.094
Nb1 Nb 0.125 0.282 0.780
Cu1 Cu 0.000 0.278 0.750
Cu2 Cu 0.123 0.218 0.281
Se1 Se 0.037 0.477 0.158
Se2 Se 0.090 0.044 0.876
Se3 Se 0.158 0.028 0.686
Se4 Se 0.212 0.468 0.393
```